Diffraction record for Mg2Co3O8. The powder diffractogram is simulated, not measured: it uses a cell relaxed with GGA+U and Cu Kα (λ = 1.5418 Å).

Atomic structure:
```
26
Lattice="5.7142 0.0000 0.0000 -2.8571 4.9486 0.0000 0.0000 0.0000 9.3274" Properties=species:S:1:pos:R:3 pbc="T T T"
Mg 0.0000 3.2991 0.0000
Mg 0.0000 3.2991 3.7521
Mg 2.8571 1.6495 4.6637
Mg 2.8571 1.6495 8.4159
Co 0.0000 1.6249 6.7453
Co -1.4499 4.1362 6.7453
Co 1.4072 0.8124 2.0816
Co 1.4499 4.1362 6.7453
Co 4.3070 0.8124 2.0816
Co 2.8571 3.3237 2.0816
O 0.0000 0.0000 3.0731
O 0.0000 0.0000 7.7369
O -1.2659 2.5682 7.8152
O 0.0000 1.5574 1.1676
O -1.5083 4.1699 1.1676
O 1.3488 0.7787 5.8313
O 0.0000 3.2991 5.7414
O 1.2659 2.5682 7.8152
O 0.0000 4.7608 7.8152
O 2.8571 0.1879 3.1515
O 1.5912 2.3804 3.1515
O 2.8571 1.6495 1.0777
O 1.5083 4.1699 1.1676
O 4.3654 0.7787 5.8313
O 2.8571 3.3912 5.8313
O 4.1229 2.3804 3.1515
```

Largest 8 diffraction maxima, by angle, 10° ≤ 2θ ≤ 80°:
19.03 deg, 4.664 Å, I 100, (0 0 2); 20.31 deg, 4.371 Å, I 34, (1 0 1); 36.90 deg, 2.436 Å, I 36, (1 1 2); 37.61 deg, 2.392 Å, I 56, (2 0 1); 41.31 deg, 2.186 Å, I 30, (2 0 2); 46.93 deg, 1.936 Å, I 41, (2 0 3); 62.34 deg, 1.490 Å, I 39, (2 0 5); 65.32 deg, 1.429 Å, I 32, (2 2 0)